This entry pairs a crystal structure of LiLa2TlPt with its calculated powder XRD pattern. Radiation: copper Kα. Structure: the GGA-PBE geometry in Alexandria.

Atomic structure:
Lattice parameters (Å, degrees): 8.3484 4.2244 8.3755 90.00 110.47 90.00
Sites, in units of the cell vectors:
1 Li 0.1472 0.2500 0.0629
2 Li 0.8528 0.7500 0.9371
3 La 0.1530 0.7500 0.3934
4 La 0.4847 0.2500 0.7869
5 La 0.5153 0.7500 0.2131
6 La 0.8470 0.2500 0.6066
7 Tl 0.1783 0.7500 0.8231
8 Tl 0.8217 0.2500 0.1769
9 Pt 0.3930 0.2500 0.3855
10 Pt 0.6070 0.7500 0.6145

Most intense lines, 5 to 70 degrees two-theta, sorted by position:
two_theta	d/Å	I_rel
11.29	7.835	65
21.51	4.131	62
28.81	3.099	54
30.28	2.952	87
31.17	2.870	100
35.94	2.499	56
38.67	2.328	64
42.81	2.112	39

***

This entry pairs a crystal structure of Dy5Zr with its calculated powder XRD pattern. Radiation: copper Kα. Structure: the GGA-PBE geometry in Alexandria.

Atomic structure:
Lattice parameters (Å, degrees): 7.7588 7.7588 4.9351 90.00 90.00 143.20
Sites, in units of the cell vectors:
1 Dy 0.0000 0.0000 0.0000
2 Dy 0.1603 0.8397 0.5000
3 Dy 0.3390 0.6610 0.0000
4 Dy 0.6610 0.3390 0.0000
5 Dy 0.8397 0.1603 0.5000
6 Zr 0.5000 0.5000 0.5000

Most intense lines, 5 to 70 degrees two-theta, sorted by position:
two_theta	d/Å	I_rel
31.54	2.837	100
36.41	2.468	17
36.66	2.452	33
52.63	1.739	24
62.49	1.486	14
62.77	1.480	13
62.87	1.478	14
65.84	1.418	12

***

This entry pairs a crystal structure of Nd4Er15Tm with its calculated powder XRD pattern. Radiation: copper Kα. Structure: the GGA-PBE geometry in Alexandria.

Atomic structure:
Lattice parameters (Å, degrees): 5.0107 5.0107 24.9679 90.00 90.00 90.00
Sites, in units of the cell vectors:
1 Nd 0.0000 0.0000 0.1006
2 Nd 0.0000 0.0000 0.3008
3 Nd 0.0000 0.0000 0.6992
4 Nd 0.0000 0.0000 0.8994
5 Er 0.0000 0.5000 0.0000
6 Er 0.0000 0.5000 0.2009
7 Er 0.0000 0.5000 0.4019
8 Er 0.0000 0.5000 0.5981
9 Er 0.0000 0.5000 0.7991
10 Er 0.5000 0.0000 0.0000
11 Er 0.5000 0.0000 0.2009
12 Er 0.5000 0.0000 0.4019
13 Er 0.5000 0.0000 0.5981
14 Er 0.5000 0.0000 0.7991
15 Er 0.5000 0.5000 0.1003
16 Er 0.5000 0.5000 0.3015
17 Er 0.5000 0.5000 0.5000
18 Er 0.5000 0.5000 0.6985
19 Er 0.5000 0.5000 0.8997
20 Tm 0.0000 0.0000 0.5000

Most intense lines, 5 to 70 degrees two-theta, sorted by position:
two_theta	d/Å	I_rel
30.95	2.890	100
35.84	2.505	34
35.97	2.497	17
51.65	1.770	36
61.39	1.510	29
61.56	1.507	14
64.50	1.445	12

***

This entry pairs a crystal structure of Pm3Sm5Sn with its calculated powder XRD pattern. Radiation: copper Kα. Structure: the GGA-PBE geometry in Alexandria.

Atomic structure:
Lattice parameters (Å, degrees): 6.9818 6.9818 13.5437 90.17 90.17 71.33
Sites, in units of the cell vectors:
1 Pm 0.0000 0.0000 0.0000
2 Pm 0.0000 0.0000 0.5000
3 Pm 0.2390 0.2390 0.1210
4 Pm 0.3664 0.3664 0.5039
5 Pm 0.6336 0.6336 0.4961
6 Pm 0.7610 0.7610 0.8790
7 Sm 0.0106 0.4825 0.3342
8 Sm 0.2362 0.2362 0.8703
9 Sm 0.3283 0.6717 0.0000
10 Sm 0.4825 0.0106 0.3342
11 Sm 0.4996 0.4996 0.2548
12 Sm 0.5004 0.5004 0.7452
13 Sm 0.5175 0.9894 0.6658
14 Sm 0.6717 0.3283 0.0000
15 Sm 0.7638 0.7638 0.1297
16 Sm 0.9894 0.5175 0.6658
17 Sn 0.0011 0.0011 0.2581
18 Sn 0.9989 0.9989 0.7419

Most intense lines, 5 to 70 degrees two-theta, sorted by position:
two_theta	d/Å	I_rel
21.83	4.071	50
27.77	3.213	89
29.55	3.023	100
30.07	2.972	51
30.70	2.912	91
30.81	2.903	90
31.54	2.836	86
33.59	2.668	63

***

This entry pairs a crystal structure of LiSnHg14 with its calculated powder XRD pattern. Radiation: copper Kα. Structure: the GGA-PBE geometry in Alexandria.

Atomic structure:
Lattice parameters (Å, degrees): 6.2720 8.3384 8.6634 90.00 90.00 111.09
Sites, in units of the cell vectors:
1 Li 0.0000 0.0000 0.0000
2 Sn 0.4221 0.8505 0.0002
3 Hg 0.2745 0.0621 0.2704
4 Hg 0.2747 0.0629 0.7293
5 Hg 0.2863 0.5618 0.2409
6 Hg 0.2918 0.5620 0.7594
7 Hg 0.4147 0.8312 0.5001
8 Hg 0.4270 0.3278 0.0004
9 Hg 0.4365 0.3636 0.4994
10 Hg 0.7814 0.0608 0.7318
11 Hg 0.7821 0.0615 0.2687
12 Hg 0.8337 0.6646 0.1696
13 Hg 0.8403 0.6650 0.8290
14 Hg 0.8746 0.7511 0.4993
15 Hg 0.9156 0.3326 0.9997
16 Hg 0.9234 0.3679 0.5008

Most intense lines, 5 to 70 degrees two-theta, sorted by position:
two_theta	d/Å	I_rel
30.56	2.926	30
30.91	2.893	100
33.09	2.707	10
34.60	2.592	9
37.08	2.424	29
37.40	2.405	27
41.70	2.166	14
58.91	1.568	9

***

This entry pairs a crystal structure of LiRh with its calculated powder XRD pattern. Radiation: copper Kα. Structure: the GGA-PBE geometry in Alexandria.

Atomic structure:
Lattice parameters (Å, degrees): 5.0064 5.0064 6.5071 105.87 105.87 31.46
Sites, in units of the cell vectors:
1 Li 0.0000 0.0000 0.0000
2 Li 0.0556 0.0556 0.5926
3 Li 0.3219 0.3219 0.6486
4 Rh 0.3853 0.3853 0.2635
5 Rh 0.6637 0.6637 0.3214
6 Rh 0.7156 0.7156 0.9317

Most intense lines, 5 to 70 degrees two-theta, sorted by position:
two_theta	d/Å	I_rel
14.20	6.239	100
19.21	4.620	36
28.62	3.119	30
34.43	2.605	34
38.51	2.338	24
41.51	2.176	31
43.47	2.082	63
44.49	2.037	40

***

This entry pairs a crystal structure of LaPr3Tl3 with its calculated powder XRD pattern. Radiation: copper Kα. Structure: the GGA-PBE geometry in Alexandria.

Atomic structure:
Lattice parameters (Å, degrees): 9.7287 9.7287 9.7287 90.00 90.00 90.00
Sites, in units of the cell vectors:
1 La 0.0740 0.4260 0.5740
2 La 0.4260 0.5740 0.0740
3 La 0.5740 0.0740 0.4260
4 La 0.9260 0.9260 0.9260
5 Pr 0.0761 0.5761 0.9239
6 Pr 0.1767 0.1767 0.1767
7 Pr 0.1766 0.8234 0.3234
8 Pr 0.3234 0.1766 0.8234
9 Pr 0.3233 0.8233 0.6767
10 Pr 0.4239 0.4239 0.4239
11 Pr 0.5761 0.9239 0.0761
12 Pr 0.6767 0.3233 0.8233
13 Pr 0.6766 0.6766 0.6766
14 Pr 0.8234 0.3234 0.1766
15 Pr 0.8233 0.6767 0.3233
16 Pr 0.9239 0.0761 0.5761
17 Tl 0.0004 0.2525 0.8774
18 Tl 0.9996 0.7525 0.6226
19 Tl 0.1226 0.5004 0.2475
20 Tl 0.2475 0.1226 0.5004
21 Tl 0.2525 0.8774 0.0004
22 Tl 0.3774 0.4996 0.7475
23 Tl 0.5004 0.2475 0.1226
24 Tl 0.4996 0.7475 0.3774
25 Tl 0.6226 0.9996 0.7525
26 Tl 0.7475 0.3774 0.4996
27 Tl 0.7525 0.6226 0.9996
28 Tl 0.8774 0.0004 0.2525

Most intense lines, 5 to 70 degrees two-theta, sorted by position:
two_theta	d/Å	I_rel
29.02	3.076	100
34.49	2.600	68
41.51	2.175	20
43.64	2.074	14
45.69	1.986	13
47.66	1.908	18
58.48	1.578	31
61.80	1.501	15

***

This entry pairs a crystal structure of Mg8BiIr2 with its calculated powder XRD pattern. Radiation: copper Kα. Structure: the GGA-PBE geometry in Alexandria.

Atomic structure:
Lattice parameters (Å, degrees): 4.6843 6.6888 8.2119 113.38 105.70 91.92
Sites, in units of the cell vectors:
1 Mg 0.0000 0.0000 0.0000
2 Mg 0.0305 0.4703 0.0657
3 Mg 0.2116 0.3405 0.3968
4 Mg 0.4011 0.8861 0.6551
5 Mg 0.4701 0.6003 0.9136
6 Mg 0.6203 0.0593 0.2455
7 Mg 0.6551 0.6545 0.3100
8 Mg 0.9692 0.1449 0.6563
9 Bi 0.8454 0.5699 0.6550
10 Ir 0.1503 0.9041 0.3232
11 Ir 0.4823 0.2363 0.9869

Most intense lines, 5 to 70 degrees two-theta, sorted by position:
two_theta	d/Å	I_rel
22.86	3.890	100
23.56	3.776	32
26.66	3.344	68
37.61	2.392	53
38.48	2.339	33
44.46	2.038	21
44.83	2.022	28
45.65	1.988	20

***

This entry pairs a crystal structure of CeTmH8Ir2 with its calculated powder XRD pattern. Radiation: copper Kα. Structure: the GGA-PBE geometry in Alexandria.

Atomic structure:
Lattice parameters (Å, degrees): 6.7120 6.7120 6.7120 42.00 42.00 42.00
Sites, in units of the cell vectors:
1 Ce 0.0000 0.0000 0.0000
2 Tm 0.5000 0.5000 0.5000
3 H 0.0472 0.3876 0.8887
4 H 0.1113 0.9528 0.6124
5 H 0.3271 0.3271 0.3271
6 H 0.3876 0.8887 0.0472
7 H 0.6124 0.1113 0.9528
8 H 0.6729 0.6729 0.6729
9 H 0.8887 0.0472 0.3876
10 H 0.9528 0.6124 0.1113
11 Ir 0.2387 0.2387 0.2387
12 Ir 0.7613 0.7613 0.7613

Most intense lines, 5 to 70 degrees two-theta, sorted by position:
two_theta	d/Å	I_rel
14.50	6.110	4
28.96	3.083	100
37.38	2.406	54
45.16	2.008	27
47.97	1.896	26
60.02	1.541	11
62.35	1.489	24
67.43	1.389	10

***

This entry pairs a crystal structure of SrPrCdAu with its calculated powder XRD pattern. Radiation: copper Kα. Structure: the GGA-PBE geometry in Alexandria.

Atomic structure:
Lattice parameters (Å, degrees): 5.4598 5.4598 5.4598 60.00 60.00 60.00
Sites, in units of the cell vectors:
1 Sr 0.0000 0.0000 0.0000
2 Pr 0.5000 0.5000 0.5000
3 Cd 0.2500 0.2500 0.2500
4 Au 0.7500 0.7500 0.7500

Most intense lines, 5 to 70 degrees two-theta, sorted by position:
two_theta	d/Å	I_rel
19.92	4.458	7
23.04	3.861	3
32.81	2.730	100
38.68	2.328	4
47.08	1.930	18
51.60	1.771	2
58.57	1.576	38
68.78	1.365	12

***

This entry pairs a crystal structure of PmPr6Sm2Tm3 with its calculated powder XRD pattern. Radiation: copper Kα. Structure: the GGA-PBE geometry in Alexandria.

Atomic structure:
Lattice parameters (Å, degrees): 6.3254 6.3254 11.9353 95.05 95.05 120.01
Sites, in units of the cell vectors:
1 Pm 0.0000 0.0000 0.0000
2 Pr 0.0849 0.4183 0.2542
3 Pr 0.2485 0.2485 0.7457
4 Pr 0.4183 0.0849 0.2542
5 Pr 0.5817 0.9151 0.7458
6 Pr 0.7515 0.7515 0.2543
7 Pr 0.9151 0.5817 0.7458
8 Sm 0.3334 0.6666 0.0000
9 Sm 0.6666 0.3334 0.0000
10 Tm 0.1668 0.8332 0.5000
11 Tm 0.5000 0.5000 0.5000
12 Tm 0.8332 0.1668 0.5000

Most intense lines, 5 to 70 degrees two-theta, sorted by position:
two_theta	d/Å	I_rel
30.02	2.977	100
30.43	2.937	32
34.92	2.569	67
49.95	1.826	24
50.49	1.808	23
59.38	1.556	15
59.62	1.551	29
60.10	1.539	14

***

This entry pairs a crystal structure of Cs5HAu with its calculated powder XRD pattern. Radiation: copper Kα. Structure: the GGA-PBE geometry in Alexandria.

Atomic structure:
Lattice parameters (Å, degrees): 9.6861 9.6861 12.2861 102.89 102.89 53.14
Sites, in units of the cell vectors:
1 Cs 0.0624 0.6208 0.3681
2 Cs 0.1151 0.8849 0.7500
3 Cs 0.1875 0.5968 0.9978
4 Cs 0.3792 0.9376 0.1319
5 Cs 0.4032 0.8125 0.5022
6 Cs 0.5968 0.1875 0.4978
7 Cs 0.6208 0.0624 0.8681
8 Cs 0.8125 0.4032 0.0022
9 Cs 0.8849 0.1151 0.2500
10 Cs 0.9376 0.3792 0.6319
11 H 0.0000 0.0000 0.0000
12 H 0.0000 0.0000 0.5000
13 Au 0.4691 0.5309 0.2500
14 Au 0.5309 0.4691 0.7500

Most intense lines, 5 to 70 degrees two-theta, sorted by position:
two_theta	d/Å	I_rel
10.54	8.390	78
20.34	4.366	61
21.75	4.086	83
22.69	3.919	100
23.46	3.792	62
24.04	3.702	66
26.10	3.414	66
29.64	3.014	60

***

This entry pairs a crystal structure of EuMgAgGe with its calculated powder XRD pattern. Radiation: copper Kα. Structure: the GGA-PBE geometry in Alexandria.

Atomic structure:
Lattice parameters (Å, degrees): 5.0151 5.0151 5.0151 60.00 60.00 60.00
Sites, in units of the cell vectors:
1 Eu 0.0000 0.0000 0.0000
2 Mg 0.5000 0.5000 0.5000
3 Ag 0.7500 0.7500 0.7500
4 Ge 0.2500 0.2500 0.2500

Most intense lines, 5 to 70 degrees two-theta, sorted by position:
two_theta	d/Å	I_rel
21.70	4.095	30
35.81	2.508	100
42.26	2.138	16
51.54	1.773	17
56.56	1.627	7
64.35	1.448	35
68.78	1.365	5